# SmDy2ErTl2
Theoretical powder diffraction line list, Cu Ka. Input: a cell relaxed with GGA-PBE.
Peak positions follow from Bragg's law for the DFT cell and can differ from measured ones.

Lattice parameters (Å, degrees): 5.1116 9.9920 6.8488 90.00 90.00 90.00
Fractional positions:
1 Sm 0.0000 0.0439 0.0000
2 Sm 0.0000 0.9561 0.5000
3 Dy 0.0000 0.3164 0.3782
4 Dy 0.0000 0.6836 0.8782
5 Dy 0.5000 0.4548 0.0932
6 Dy 0.5000 0.5452 0.5932
7 Er 0.5000 0.1908 0.7184
8 Er 0.5000 0.8092 0.2184
9 Tl 0.0000 0.3657 0.8386
10 Tl 0.0000 0.6343 0.3386
11 Tl 0.5000 0.1339 0.2610
12 Tl 0.5000 0.8661 0.7610

The 10 most intense peaks (2θ from 15° to 90°), most intense first:
Position (°2θ)	I/Imax
32.07	100.0
32.73	82.5
31.44	60.6
35.11	60.5
34.71	36.9
37.68	25.4
59.93	23.5
31.68	21.7
52.45	19.8
29.83	19.6